[1]
# ErTl3I2O9
Computed X-ray diffraction stick pattern, Cu Kα, 1.54184 Å. Input: a DFT-relaxed cell (PBE, Alexandria).

The 12 most intense peaks (2θ = 10–80°), by angle:
2theta	intensity	h k l
21.01	4.1	1 0 1
29.82	100.0	1 1 0
29.96	98.8	0 1 2
36.76	6.9	0 2 1
42.77	53.8	2 0 2
52.98	61.5	3 0 0
53.27	18.8	1 0 4
61.93	17.3	2 2 0
62.25	16.1	0 2 4
70.31	18.3	3 1 2
70.53	16.9	2 1 4
78.20	8.7	0 4 2

Cell and atoms:
abc: 5.9930 5.9930 7.2901
angles: 90.00 90.00 120.00
Space group P-3m1 (No. 164)
Symmetry-distinct sites (fractional):
Er 0.0000 0.0000 0.0000 x1
Tl 0.0000 0.0000 0.5000 x1
Tl 0.3333 0.6667 0.1838 x2
I 0.3333 0.6667 0.6747 x2
O 0.0000 0.5000 0.5000 x3
O 0.1807 0.3614 0.8234 x6

[2]
# FeSnSe
Computed X-ray diffraction stick pattern, Cu Kα, 1.54184 Å. Input: a DFT-relaxed cell (PBE, Alexandria).

The 12 most intense peaks (2θ = 10–80°), by angle:
2theta	intensity	h k l
21.55	22.8	2 0 0
30.66	27.0	2 2 0
33.54	100.0	2 0 1
34.39	33.1	1 3 0
35.31	17.1	2 1 1
43.23	26.9	3 1 1
43.92	23.5	4 0 0
52.14	14.9	0 0 2
53.93	24.7	3 3 1
56.37	25.6	4 2 1
63.96	11.1	1 3 2
70.48	11.4	4 0 2

Cell and atoms:
abc: 8.247 8.247 3.508
angles: 90.00 90.00 90.00
Space group P4_2/m (No. 84)
Symmetry-distinct sites (fractional):
Fe 0.205 0.754 0.000 x4
Sn 0.268 0.448 0.000 x4
Se 0.030 0.738 0.500 x4